This entry pairs a crystal structure of In5Ga4 with its theoretical powder X-ray diffraction pattern. Radiation: Cu Kα X-rays. Structure: the GGA-PBE geometry in Alexandria.

Structure:
```
In5Ga4
1.0
5.6099 -2.2226 0.0000
5.6099 2.2226 0.0000
-4.4175 0.0000 8.6943
In Ga
5 4
direct
0.0000 0.0000 0.0000 In
0.1169 0.1169 0.4066 In
0.2468 0.2468 0.8465 In
0.7532 0.7532 0.1535 In
0.8831 0.8831 0.5934 In
0.3710 0.3710 0.3845 Ga
0.4688 0.4688 0.1782 Ga
0.5312 0.5312 0.8218 Ga
0.6290 0.6290 0.6155 Ga
```

Top 6 peaks for 10 to 90 degrees two-theta, sorted by position:
| 2θ/deg | I_rel |
| --- | --- |
| 31.31 | 58 |
| 32.45 | 36 |
| 32.83 | 100 |
| 34.55 | 27 |
| 36.60 | 49 |
| 40.59 | 40 |